This entry pairs a crystal structure of YThZn with its simulated X-ray diffraction stick pattern. Radiation: CuKα. Structure: a PBE-relaxed structure.

Principal peaks in the range 5° ≤ 2θ ≤ 70°, low angle first:
- (0 2 0), 2θ 10.4, intensity 35
- (0 4 0), 2θ 20.9, intensity 12
- (0 4 1), 2θ 26.9, intensity 18
- (1 1 1), 2θ 30.6, intensity 23
- (0 6 0), 2θ 31.6, intensity 17
- (0 0 2), 2θ 33.8, intensity 30
- (1 3 1), 2θ 34.1, intensity 100
- (0 6 1), 2θ 35.9, intensity 15
- (0 6 2), 2θ 46.9, intensity 11
- (1 3 3), 2θ 60.7, intensity 19

Crystal structure
abc: 3.585 17.007 5.299
angles: 90.00 90.00 90.00
Element x y z (fractional)
Y 0.000 0.077 0.250
Y 0.000 0.923 0.750
Y 0.500 0.423 0.750
Y 0.500 0.577 0.250
Th 0.000 0.223 0.750
Th 0.000 0.777 0.250
Th 0.500 0.277 0.250
Th 0.500 0.723 0.750
Zn 0.000 0.433 0.250
Zn 0.000 0.567 0.750
Zn 0.500 0.067 0.750
Zn 0.500 0.933 0.250

---

This entry pairs a crystal structure of ZrI2Br with its simulated X-ray diffraction stick pattern. Radiation: CuKα. Structure: a PBE-relaxed structure.

Principal peaks in the range 5° ≤ 2θ ≤ 70°, low angle first:
- (0 1 1), 2θ 13.7, intensity 100
- (0 0 2), 2θ 23.6, intensity 38
- (0 3 1), 2θ 24.3, intensity 82
- (1 2 1), 2θ 30.8, intensity 51
- (1 3 0), 2θ 32.6, intensity 29
- (1 1 2), 2θ 35.1, intensity 57
- (1 4 1), 2θ 39.8, intensity 53
- (1 3 2), 2θ 40.7, intensity 22
- (0 3 3), 2θ 42.0, intensity 31
- (1 0 3), 2θ 43.9, intensity 21

Crystal structure
abc: 3.632 12.576 7.527
angles: 90.00 90.00 90.00
Element x y z (fractional)
Zr 0.000 0.000 0.000
Zr 0.500 0.500 0.500
I 0.000 0.346 0.343
I 0.000 0.654 0.343
I 0.500 0.154 0.843
I 0.500 0.846 0.843
Br 0.000 0.500 0.775
Br 0.500 0.000 0.275